# CaPm3
Simulated powder diffractogram, Cu Kα, 1.54184 Å. Input: a cell relaxed with PBE.
No peak broadening, texture or thermal motion is included.

The 10 most intense peaks (10° ≤ 2θ ≤ 90°), in order of rising 2θ:
| 2theta | I/Imax | h k l |
| --- | --- | --- |
| 20.27 | 12 | 1 0 1 |
| 27.67 | 23 | 2 0 0 |
| 29.92 | 26 | 0 0 2 |
| 31.54 | 100 | 2 0 1 |
| 41.21 | 16 | 2 0 2 |
| 48.94 | 19 | 2 2 0 |
| 54.14 | 21 | 2 0 3 |
| 58.43 | 23 | 2 2 2 |
| 59.40 | 16 | 4 0 1 |
| 80.45 | 13 | 4 2 1 |

Crystal structure
a = 7.4443 Å, b = 7.4443 Å, c = 5.9730 Å
α = 90.00°, β = 90.00°, γ = 120.00°
Positions (direct):
Ca  0.3333  0.6667  0.2500
Ca  0.6667  0.3333  0.7500
Pm  0.1644  0.3288  0.7500
Pm  0.1644  0.8356  0.7500
Pm  0.3288  0.1644  0.2500
Pm  0.6712  0.8356  0.7500
Pm  0.8356  0.1644  0.2500
Pm  0.8356  0.6712  0.2500